[1]
Diffraction record for CsGeI3. The powder diffractogram is simulated, not measured: it uses a crystal structure in the Materials Project, relaxed with GGA-PBE and Cu Kα (λ = 1.5418 Å).
Peak positions follow from Bragg's law for the DFT cell and can differ from measured ones.

Cell and atoms:
```
CsGeI3
1.0
4.254 2.456 3.615
-4.254 2.456 3.615
0.000 -4.913 3.615
Cs Ge I
1 1 3
Direct
0.000 0.000 0.000 Cs
0.468 0.468 0.468 Ge
0.011 0.504 0.504 I
0.504 0.011 0.504 I
0.504 0.504 0.011 I
```

Top 10 peaks for 5° ≤ 2θ ≤ 70°, sorted by position:
- 2θ = 24.6°, rel. 32
- 2θ = 25.5°, rel. 81
- 2θ = 29.3°, rel. 100
- 2θ = 41.3°, rel. 36
- 2θ = 42.5°, rel. 37
- 2θ = 48.7°, rel. 17
- 2θ = 49.7°, rel. 27
- 2θ = 52.5°, rel. 19
- 2θ = 68.1°, rel. 14
- 2θ = 69.7°, rel. 16

[2]
Diffraction record for ZnGa2S4. The powder diffractogram is simulated, not measured: it uses a crystal structure in the Materials Project, relaxed with GGA-PBE and Cu Kα (λ = 1.5418 Å).
Peak positions follow from Bragg's law for the DFT cell and can differ from measured ones.

Cell and atoms:
```
ZnGa2S4
1.0
0.000 5.106 5.106
5.106 0.000 5.106
5.106 5.106 0.000
Zn Ga S
2 4 8
Direct
0.125 0.125 0.125 Zn
0.875 0.875 0.875 Zn
0.000 0.500 0.500 Ga
0.500 0.000 0.500 Ga
0.500 0.500 0.000 Ga
0.500 0.500 0.500 Ga
0.259 0.259 0.259 S
0.259 0.259 0.724 S
0.259 0.724 0.259 S
0.276 0.741 0.741 S
0.724 0.259 0.259 S
0.741 0.276 0.741 S
0.741 0.741 0.276 S
0.741 0.741 0.741 S
```

Top 10 peaks for 5° ≤ 2θ ≤ 70°, sorted by position:
- 2θ = 15.0°, rel. 13
- 2θ = 24.7°, rel. 28
- 2θ = 29.0°, rel. 100
- 2θ = 35.2°, rel. 43
- 2θ = 43.4°, rel. 11
- 2θ = 46.2°, rel. 47
- 2θ = 50.6°, rel. 82
- 2θ = 59.3°, rel. 13
- 2θ = 63.1°, rel. 9
- 2θ = 68.8°, rel. 6

[3]
Diffraction record for NdTaTiO6. The powder diffractogram is simulated, not measured: it uses a crystal structure in the Materials Project, relaxed with GGA-PBE and Cu Kα (λ = 1.5418 Å).
Peak positions follow from Bragg's law for the DFT cell and can differ from measured ones.

Cell and atoms:
```
NdTaTiO6
1.0
11.111 0.000 0.000
0.000 5.387 0.000
0.000 0.000 7.551
Nd Ta Ti O
4 4 4 24
Direct
0.044 0.044 0.000 Nd
0.456 0.544 0.500 Nd
0.544 0.456 0.000 Nd
0.956 0.956 0.500 Nd
0.143 0.538 0.258 Ta
0.357 0.038 0.758 Ta
0.643 0.962 0.258 Ta
0.857 0.462 0.758 Ta
0.143 0.536 0.744 Ti
0.357 0.036 0.244 Ti
0.643 0.964 0.744 Ti
0.857 0.464 0.244 Ti
0.025 0.269 0.714 O
0.027 0.265 0.290 O
0.122 0.659 0.504 O
0.143 0.452 0.000 O
0.210 0.870 0.811 O
0.212 0.875 0.192 O
0.288 0.375 0.692 O
0.290 0.370 0.311 O
0.357 0.952 0.500 O
0.378 0.159 0.004 O
0.473 0.765 0.790 O
0.475 0.769 0.214 O
0.525 0.231 0.714 O
0.527 0.235 0.290 O
0.622 0.841 0.504 O
0.643 0.048 0.000 O
0.710 0.630 0.811 O
0.712 0.625 0.192 O
0.788 0.125 0.692 O
0.790 0.130 0.311 O
0.857 0.548 0.500 O
0.878 0.341 0.004 O
0.973 0.735 0.790 O
0.975 0.731 0.214 O
```

Top 10 peaks for 5° ≤ 2θ ≤ 70°, sorted by position:
- 2θ = 19.8°, rel. 44
- 2θ = 21.8°, rel. 41
- 2θ = 28.6°, rel. 24
- 2θ = 29.3°, rel. 73
- 2θ = 30.0°, rel. 100
- 2θ = 33.3°, rel. 26
- 2θ = 40.3°, rel. 21
- 2θ = 48.2°, rel. 18
- 2θ = 53.2°, rel. 19
- 2θ = 57.4°, rel. 33

[4]
Diffraction record for LiC6N4. The powder diffractogram is simulated, not measured: it uses a crystal structure in the Materials Project, relaxed with GGA-PBE and Cu Kα (λ = 1.5418 Å).
Peak positions follow from Bragg's law for the DFT cell and can differ from measured ones.

Cell and atoms:
```
LiC6N4
1.0
5.608 0.000 0.000
0.000 5.414 0.000
-3.117 0.000 11.845
Li C N
2 12 8
Direct
0.000 0.158 0.250 Li
0.000 0.842 0.750 Li
0.310 0.453 0.105 C
0.310 0.547 0.605 C
0.380 0.244 0.896 C
0.380 0.756 0.396 C
0.482 0.447 0.551 C
0.482 0.553 0.051 C
0.518 0.447 0.949 C
0.518 0.553 0.449 C
0.620 0.244 0.604 C
0.620 0.756 0.104 C
0.690 0.453 0.395 C
0.690 0.547 0.895 C
0.170 0.367 0.150 N
0.170 0.633 0.650 N
0.260 0.077 0.852 N
0.260 0.923 0.352 N
0.740 0.077 0.648 N
0.740 0.923 0.148 N
0.830 0.367 0.350 N
0.830 0.633 0.850 N
```

Top 10 peaks for 5° ≤ 2θ ≤ 70°, sorted by position:
- 2θ = 16.4°, rel. 94
- 2θ = 19.2°, rel. 26
- 2θ = 22.2°, rel. 27
- 2θ = 24.9°, rel. 18
- 2θ = 25.3°, rel. 46
- 2θ = 25.7°, rel. 87
- 2θ = 29.4°, rel. 53
- 2θ = 30.0°, rel. 100
- 2θ = 30.2°, rel. 42
- 2θ = 34.0°, rel. 17